Starting from a crystal structure in Alexandria, relaxed with PBE, the powder XRD pattern of InNiAu14 was computed for λ = 1.5418 Å (Cu Kα).
Peak positions follow from Bragg's law for the DFT cell and can differ from measured ones.

Crystal structure
a b c (Å): 9.524 5.896 5.896
angles (deg): 60.34 90.00 90.00
Positions (direct):
1 In 0.000 0.000 0.000
2 Ni 0.000 0.501 0.501
3 Au 0.000 0.504 0.998
4 Au 0.000 0.998 0.504
5 Au 0.243 0.334 0.825
6 Au 0.243 0.825 0.334
7 Au 0.244 0.333 0.333
8 Au 0.253 0.831 0.831
9 Au 0.500 0.163 0.163
10 Au 0.500 0.165 0.662
11 Au 0.500 0.662 0.165
12 Au 0.500 0.662 0.662
13 Au 0.747 0.831 0.831
14 Au 0.756 0.333 0.333
15 Au 0.757 0.334 0.825
16 Au 0.757 0.825 0.334

Principal peaks in the range 2θ = 15–90°, sorted by position:
36.31°, d 2.474, intensity 34; 36.49°, d 2.462, intensity 18; 37.78°, d 2.381, intensity 47; 39.96°, d 2.256, intensity 100; 40.13°, d 2.247, intensity 45; 45.50°, d 1.994, intensity 18; 63.07°, d 1.474, intensity 22; 69.69°, d 1.349, intensity 19; 75.92°, d 1.253, intensity 25; 77.10°, d 1.237, intensity 14